Record 1
# Te2Mo3Se7Br10
Calculated X-ray powder pattern, copper Kα. Input: a cell relaxed with PBE.

Structure:
Unit cell a=10.653 b=11.511 c=12.862 alpha=84.69 beta=85.46 gamma=76.61
Atoms (fractional coordinates):
Te 0.130 0.050 0.369
Te 0.156 0.177 0.789
Te 0.844 0.823 0.211
Te 0.870 0.950 0.631
Mo 0.209 0.408 0.778
Mo 0.395 0.494 0.866
Mo 0.396 0.493 0.649
Mo 0.604 0.507 0.351
Mo 0.605 0.506 0.134
Mo 0.791 0.592 0.222
Se 0.152 0.578 0.635
Se 0.152 0.580 0.898
Se 0.229 0.390 0.980
Se 0.230 0.387 0.574
Se 0.381 0.684 0.742
Se 0.417 0.450 0.260
Se 0.442 0.308 0.770
Se 0.558 0.692 0.230
Se 0.583 0.550 0.740
Se 0.619 0.316 0.258
Se 0.770 0.613 0.426
Se 0.771 0.610 0.020
Se 0.848 0.420 0.102
Se 0.848 0.422 0.365
Br 0.021 0.843 0.451
Br 0.040 0.604 0.212
Br 0.095 0.824 0.755
Br 0.096 0.131 0.980
Br 0.222 0.236 0.301
Br 0.235 0.922 0.217
Br 0.325 0.979 0.484
Br 0.373 0.020 0.792
Br 0.420 0.639 0.472
Br 0.420 0.640 0.015
Br 0.580 0.360 0.985
Br 0.580 0.361 0.528
Br 0.627 0.980 0.208
Br 0.675 0.021 0.516
Br 0.765 0.078 0.783
Br 0.778 0.764 0.699
Br 0.904 0.869 0.020
Br 0.905 0.176 0.245
Br 0.960 0.396 0.788
Br 0.979 0.157 0.549

Most intense lines, 2θ = 10–80°, by intensity:
2theta, I (rel.)
12.9, 100
11.7, 54
10.7, 50
11.3, 48
14.7, 46
15.9, 41
24.6, 41
13.9, 34
27.8, 34
10.9, 29
27.9, 28
27.2, 28

Record 2
# Te6MoBr3
Calculated X-ray powder pattern, copper Kα. Input: a cell relaxed with PBE.

Structure:
Unit cell a=8.636 b=12.060 c=14.645 alpha=81.44 beta=83.16 gamma=73.95
Atoms (fractional coordinates):
Te 0.030 0.260 0.291
Te 0.096 0.302 0.544
Te 0.145 0.928 0.369
Te 0.176 0.656 0.557
Te 0.188 0.972 0.606
Te 0.215 0.771 0.132
Te 0.233 0.544 0.969
Te 0.299 0.200 0.397
Te 0.331 0.848 0.955
Te 0.355 0.210 0.974
Te 0.364 0.438 0.134
Te 0.464 0.310 0.804
Te 0.536 0.690 0.196
Te 0.636 0.562 0.866
Te 0.645 0.790 0.026
Te 0.669 0.152 0.045
Te 0.701 0.800 0.603
Te 0.767 0.456 0.031
Te 0.785 0.229 0.868
Te 0.812 0.028 0.394
Te 0.824 0.344 0.443
Te 0.855 0.072 0.631
Te 0.904 0.698 0.456
Te 0.970 0.740 0.709
Mo 0.027 0.117 0.465
Mo 0.471 0.617 0.033
Mo 0.529 0.383 0.967
Mo 0.973 0.883 0.535
Br 0.022 0.873 0.902
Br 0.132 0.388 0.780
Br 0.254 0.601 0.348
Br 0.355 0.668 0.732
Br 0.382 0.104 0.199
Br 0.498 0.834 0.426
Br 0.502 0.166 0.574
Br 0.618 0.896 0.801
Br 0.645 0.332 0.268
Br 0.746 0.399 0.652
Br 0.868 0.612 0.220
Br 0.978 0.127 0.098

Most intense lines, 2θ = 10–80°, by intensity:
2theta, I (rel.)
11.9, 100
24.9, 57
24.6, 53
32.7, 43
34.8, 43
33.7, 41
12.8, 38
12.3, 37
31.8, 29
32.3, 26
27.8, 23
11.4, 22

Record 3
# Te4MoBr
Calculated X-ray powder pattern, copper Kα. Input: a cell relaxed with PBE.

Structure:
Unit cell a=6.903 b=8.362 c=8.372 alpha=115.20 beta=102.79 gamma=100.78
Atoms (fractional coordinates):
Te 0.035 0.393 0.216
Te 0.121 0.820 0.181
Te 0.387 0.354 0.698
Te 0.464 0.275 0.057
Te 0.536 0.725 0.943
Te 0.613 0.646 0.302
Te 0.879 0.180 0.819
Te 0.965 0.607 0.784
Mo 0.218 0.500 0.999
Mo 0.782 0.500 0.001
Br 0.253 0.909 0.581
Br 0.747 0.091 0.419

Most intense lines, 2θ = 10–80°, by intensity:
2theta, I (rel.)
12.4, 100
12.5, 68
32.7, 43
26.5, 38
30.6, 36
26.7, 28
38.4, 25
32.3, 24
35.6, 20
44.1, 19
53.1, 18
31.0, 15

Record 4
# Na4BrN3
Calculated X-ray powder pattern, copper Kα. Input: a cell relaxed with PBE.

Structure:
Unit cell a=6.743 b=12.132 c=8.546 alpha=90.00 beta=90.00 gamma=90.00
Atoms (fractional coordinates):
Na 0.000 0.000 0.177
Na 0.000 0.000 0.823
Na 0.079 0.277 0.256
Na 0.079 0.277 0.744
Na 0.198 0.610 0.000
Na 0.302 0.110 0.500
Na 0.421 0.777 0.244
Na 0.421 0.777 0.756
Na 0.500 0.500 0.323
Na 0.500 0.500 0.677
Na 0.579 0.223 0.244
Na 0.579 0.223 0.756
Na 0.698 0.890 0.500
Na 0.802 0.390 0.000
Na 0.921 0.723 0.256
Na 0.921 0.723 0.744
Br 0.183 0.881 0.500
Br 0.317 0.381 0.000
Br 0.683 0.619 0.000
Br 0.817 0.119 0.500
N 0.152 0.813 0.000
N 0.219 0.618 0.271
N 0.219 0.618 0.729
N 0.281 0.118 0.229
N 0.281 0.118 0.771
N 0.348 0.313 0.500
N 0.652 0.687 0.500
N 0.719 0.882 0.229
N 0.719 0.882 0.771
N 0.781 0.382 0.271
N 0.781 0.382 0.729
N 0.848 0.187 0.000

Most intense lines, 2θ = 10–80°, by intensity:
2theta, I (rel.)
12.7, 100
34.7, 71
28.8, 52
36.3, 41
29.4, 39
32.3, 37
40.0, 33
32.1, 26
38.6, 26
33.9, 25
15.0, 24
42.3, 23

Record 5
# Na2Pr4Br9NO
Calculated X-ray powder pattern, copper Kα. Input: a cell relaxed with PBE.

Structure:
Unit cell a=8.801 b=11.826 c=9.847 alpha=90.00 beta=106.48 gamma=90.00
Atoms (fractional coordinates):
Na 0.220 0.000 0.427
Na 0.221 0.523 0.428
Na 0.779 0.023 0.572
Na 0.780 0.500 0.573
Pr 0.295 0.049 0.953
Pr 0.300 0.462 0.954
Pr 0.394 0.762 0.789
Pr 0.407 0.763 0.164
Pr 0.593 0.263 0.836
Pr 0.606 0.262 0.211
Pr 0.700 0.962 0.046
Pr 0.705 0.549 0.047
Br 0.100 0.922 0.686
Br 0.103 0.600 0.690
Br 0.114 0.914 0.122
Br 0.117 0.607 0.119
Br 0.233 0.260 0.739
Br 0.253 0.260 0.145
Br 0.353 0.763 0.466
Br 0.492 0.015 0.695
Br 0.493 0.509 0.696
Br 0.507 0.009 0.304
Br 0.508 0.515 0.305
Br 0.647 0.263 0.534
Br 0.747 0.760 0.855
Br 0.767 0.760 0.261
Br 0.883 0.107 0.881
Br 0.886 0.414 0.878
Br 0.897 0.100 0.310
Br 0.900 0.422 0.314
N 0.443 0.884 0.985
N 0.557 0.384 0.015
O 0.444 0.633 0.985
O 0.556 0.133 0.015

Most intense lines, 2θ = 10–80°, by intensity:
2theta, I (rel.)
31.0, 100
32.2, 99
32.1, 91
31.3, 86
10.5, 84
29.5, 78
32.7, 66
24.1, 43
39.0, 39
36.5, 38
30.2, 38
35.7, 37

Record 6
# NbBr4NO
Calculated X-ray powder pattern, copper Kα. Input: a cell relaxed with PBE.

Structure:
Unit cell a=9.402 b=9.402 c=7.905 alpha=107.36 beta=107.36 gamma=95.65
Atoms (fractional coordinates):
Nb 0.000 0.000 0.000
Nb 0.328 0.328 0.374
Nb 0.672 0.672 0.626
Br 0.095 0.095 0.769
Br 0.182 0.818 0.000
Br 0.187 0.437 0.597
Br 0.204 0.473 0.158
Br 0.437 0.187 0.597
Br 0.473 0.204 0.158
Br 0.527 0.796 0.842
Br 0.563 0.813 0.403
Br 0.796 0.527 0.842
Br 0.813 0.563 0.403
Br 0.818 0.182 0.000
Br 0.905 0.905 0.231
N 0.202 0.798 0.500
N 0.500 0.500 0.000
N 0.798 0.202 0.500
O 0.158 0.158 0.211
O 0.500 0.500 0.500
O 0.842 0.842 0.789

Most intense lines, 2θ = 10–80°, by intensity:
2theta, I (rel.)
13.1, 100
24.5, 94
29.9, 91
30.5, 67
24.1, 60
12.7, 56
34.6, 39
35.4, 26
44.2, 24
46.4, 22
30.1, 21
28.7, 21